[1]
Pr12Si5Se28: theoretical powder diffraction line list (Cu Kα, 1.54184 Å), based on a crystal structure in the Materials Project, relaxed with PBE.
Neutral-atom scattering factors, no anomalous dispersion.

The 10 most intense peaks (2θ = 10–80°), by angle:
| 2θ/deg | d_spacing | intensity | h k l |
| --- | --- | --- | --- |
| 24.17 | 3.682 | 54 | 2 2 1 |
| 29.44 | 3.034 | 100 | 0 4 2 |
| 30.98 | 2.886 | 53 | -1 4 1 |
| 32.54 | 2.752 | 77 | 3 2 1 |
| 33.53 | 2.673 | 52 | 4 0 2 |
| 33.94 | 2.641 | 37 | 2 4 3 |
| 34.94 | 2.568 | 88 | 3 0 4 |
| 35.34 | 2.540 | 71 | -2 4 2 |
| 38.03 | 2.366 | 65 | 4 2 4 |
| 39.27 | 2.294 | 56 | 3 4 3 |

Structural model:
Unit cell a=10.6998 b=12.1514 c=12.2905 alpha=60.40 beta=64.20 gamma=89.99
Positions (direct):
Pr 0.0000 0.0000 0.0000
Pr 0.0052 0.4906 0.9817
Pr 0.2513 0.6045 0.2888
Pr 0.2665 0.1005 0.2673
Pr 0.3534 0.3699 0.7569
Pr 0.3634 0.8510 0.7675
Pr 0.4777 0.7751 0.4140
Pr 0.4946 0.3014 0.3967
Pr 0.7651 0.8027 0.8649
Pr 0.7834 0.3181 0.8588
Pr 0.8980 0.2471 0.5036
Pr 0.9061 0.7269 0.5098
Si 0.1306 0.0600 0.6349
Si 0.4631 0.4631 0.9679
Si 0.4640 0.9648 0.9677
Si 0.7933 0.0484 0.3037
Si 0.8004 0.5507 0.2991
Se 0.0173 0.0095 0.2335
Se 0.0286 0.5215 0.2089
Se 0.0373 0.2968 0.8967
Se 0.0465 0.8370 0.8614
Se 0.2127 0.2880 0.4000
Se 0.2232 0.8119 0.3751
Se 0.2361 0.3477 0.0526
Se 0.2377 0.8513 0.0467
Se 0.2826 0.1304 0.7158
Se 0.2957 0.6357 0.7280
Se 0.3591 0.0214 0.4904
Se 0.3901 0.5143 0.4649
Se 0.4564 0.6433 0.9804
Se 0.4706 0.1568 0.9552
Se 0.5443 0.3161 0.1142
Se 0.5474 0.8203 0.1101
Se 0.6069 0.5020 0.7426
Se 0.6096 0.0051 0.7395
Se 0.6501 0.3638 0.5263
Se 0.6523 0.8599 0.5294
Se 0.7037 0.0436 0.1649
Se 0.7299 0.5533 0.1456
Se 0.7963 0.7352 0.3018
Se 0.7968 0.2358 0.3007
Se 0.8708 0.5991 0.8004
Se 0.8958 0.0950 0.7872
Se 0.9615 0.4748 0.5425
Se 0.9884 0.9923 0.5494



[2]
SrSiPt: theoretical powder diffraction line list (Cu Kα, 1.54184 Å), based on a crystal structure in the Materials Project, relaxed with PBE.
Neutral-atom scattering factors, no anomalous dispersion.

The 10 most intense peaks (2θ = 10–80°), by angle:
| 2θ/deg | d_spacing | intensity | h k l |
| --- | --- | --- | --- |
| 19.15 | 4.634 | 25 | 1 1 0 |
| 23.51 | 3.783 | 32 | 1 1 1 |
| 30.50 | 2.931 | 100 | 2 0 1 |
| 33.50 | 2.675 | 80 | 2 1 1 |
| 41.33 | 2.184 | 18 | 2 2 1 |
| 43.68 | 2.072 | 17 | 3 1 0 |
| 52.23 | 1.751 | 56 | 3 2 1 |
| 58.03 | 1.589 | 20 | 4 0 1 |
| 65.25 | 1.430 | 15 | 4 1 2 |
| 78.62 | 1.217 | 17 | 5 2 0 |

Structural model:
Unit cell a=6.5531 b=6.5531 c=6.5531 alpha=90.00 beta=90.00 gamma=90.00
Positions (direct):
Sr 0.1313 0.1313 0.1313
Sr 0.3687 0.8687 0.6313
Sr 0.6313 0.3687 0.8687
Sr 0.8687 0.6313 0.3687
Si 0.1606 0.3394 0.6606
Si 0.3394 0.6606 0.1606
Si 0.6606 0.1606 0.3394
Si 0.8394 0.8394 0.8394
Pt 0.0878 0.5878 0.9122
Pt 0.4122 0.4122 0.4122
Pt 0.5878 0.9122 0.0878
Pt 0.9122 0.0878 0.5878